# Li3MnSb4O12
Simulated powder X-ray diffraction pattern, CuKα. Input: a cell relaxed with PBE+U.

Main lines, by angle (10 to 90 degrees two-theta):
3.844 Å, intensity 100.0, hkl 1 1 0
2.785 Å, intensity 55.6, hkl 1 1 2
2.655 Å, intensity 40.2, hkl 2 0 0
2.185 Å, intensity 14.3, hkl 2 0 -2
1.923 Å, intensity 16.9, hkl 2 2 0
1.753 Å, intensity 32.0, hkl 1 3 0
1.687 Å, intensity 13.8, hkl 3 1 0
1.636 Å, intensity 9.5, hkl 0 2 4
1.557 Å, intensity 20.9, hkl 3 1 2
1.533 Å, intensity 15.9, hkl 3 1 -2

Structural model:
```
Li3MnSb4O12
1.0
5.3073 0.0000 0.0000
0.0039 5.5817 0.0000
0.0042 0.5327 7.6965
Li Mn Sb O
3 1 4 12
Direct
0.0000 0.0000 0.0000
0.0000 0.0036 0.4980
0.4969 0.5137 0.0022
0.4982 0.5054 0.4947
0.4992 0.9451 0.2094
0.5011 0.9360 0.7199
0.9964 0.4362 0.2090
0.9985 0.4320 0.7219
0.1323 0.4106 0.9641
0.1758 0.1132 0.2675
0.1999 0.7280 0.6373
0.3005 0.2313 0.6398
0.3195 0.6137 0.2603
0.3671 0.9110 0.9634
0.6228 0.9067 0.4611
0.6692 0.6007 0.7633
0.6918 0.2435 0.1354
0.7999 0.7374 0.1355
0.8279 0.1026 0.7671
0.8781 0.4075 0.4619
```